Entry 1:
NdHo12In6: calculated PXRD pattern (CuKα), based on the PBE geometry in Alexandria.
Peak positions follow from Bragg's law for the DFT cell and can differ from measured ones.

Top 10 peaks for 2θ = 5–70°, sorted by position:
- 2θ 27.19, intensity 45
- 2θ 28.01, intensity 100
- 2θ 31.32, intensity 24
- 2θ 32.89, intensity 74
- 2θ 33.57, intensity 28
- 2θ 33.96, intensity 48
- 2θ 35.45, intensity 33
- 2θ 40.98, intensity 44
- 2θ 49.13, intensity 22
- 2θ 58.87, intensity 20

```
NdHo12In6
1.0
6.9183 3.9943 3.7242
-6.9183 3.9943 3.7242
0.0000 -7.9885 3.7242
Nd Ho In
1 12 6
direct
0.0000 0.0000 0.0000 Nd
0.1229 0.5000 0.8771 Ho
0.1229 0.8771 0.5000 Ho
0.1790 0.4452 0.4452 Ho
0.4452 0.1790 0.4452 Ho
0.4452 0.4452 0.1790 Ho
0.5000 0.1229 0.8771 Ho
0.5000 0.8771 0.1229 Ho
0.5548 0.5548 0.8210 Ho
0.5548 0.8210 0.5548 Ho
0.8210 0.5548 0.5548 Ho
0.8771 0.1229 0.5000 Ho
0.8771 0.5000 0.1229 Ho
0.2433 0.2433 0.7010 In
0.2433 0.7010 0.2433 In
0.2990 0.7567 0.7567 In
0.7010 0.2433 0.2433 In
0.7567 0.2990 0.7567 In
0.7567 0.7567 0.2990 In
```



Entry 2:
Nd3Ho2In6: calculated PXRD pattern (CuKα), based on the PBE geometry in Alexandria.
Peak positions follow from Bragg's law for the DFT cell and can differ from measured ones.

Top 10 peaks for 2θ = 5–70°, sorted by position:
- 2θ 24.16, intensity 16
- 2θ 26.50, intensity 29
- 2θ 29.25, intensity 100
- 2θ 33.50, intensity 49
- 2θ 36.37, intensity 99
- 2θ 37.82, intensity 87
- 2θ 51.40, intensity 29
- 2θ 54.56, intensity 30
- 2θ 63.10, intensity 22
- 2θ 67.35, intensity 31

```
Nd3Ho2In6
1.0
-2.3788 2.3788 14.5579
2.3788 -2.3788 14.5579
2.3788 2.3788 -14.5579
Nd Ho In
3 2 6
direct
0.0000 0.0000 0.0000 Nd
0.2017 0.2017 0.0000 Nd
0.7983 0.7983 0.0000 Nd
0.4464 0.4464 0.0000 Ho
0.5536 0.5536 0.0000 Ho
0.1182 0.6182 0.5000 In
0.3115 0.3115 0.0000 In
0.3818 0.8818 0.5000 In
0.6182 0.1182 0.5000 In
0.6885 0.6885 0.0000 In
0.8818 0.3818 0.5000 In
```



Entry 3:
NdHo8In6: calculated PXRD pattern (CuKα), based on the PBE geometry in Alexandria.
Peak positions follow from Bragg's law for the DFT cell and can differ from measured ones.

Top 10 peaks for 2θ = 5–70°, sorted by position:
- 2θ 19.61, intensity 12
- 2θ 24.00, intensity 38
- 2θ 34.10, intensity 100
- 2θ 34.31, intensity 97
- 2θ 42.31, intensity 9
- 2θ 49.15, intensity 35
- 2θ 55.56, intensity 8
- 2θ 60.90, intensity 18
- 2θ 61.31, intensity 36
- 2θ 61.44, intensity 18

```
NdHo8In6
1.0
4.5271 2.6137 6.4601
-4.5271 2.6137 6.4601
0.0000 -5.2274 6.4601
Nd Ho In
1 8 6
direct
0.0000 0.0000 0.0000 Nd
0.1139 0.4449 0.7803 Ho
0.2197 0.8861 0.5551 Ho
0.3325 0.3325 0.3325 Ho
0.4449 0.7803 0.1139 Ho
0.5551 0.2197 0.8861 Ho
0.6675 0.6675 0.6675 Ho
0.7803 0.1139 0.4449 Ho
0.8861 0.5551 0.2197 Ho
0.0600 0.7206 0.3988 In
0.2794 0.6012 0.9400 In
0.3988 0.0600 0.7206 In
0.6012 0.9400 0.2794 In
0.7206 0.3988 0.0600 In
0.9400 0.2794 0.6012 In
```



Entry 4:
Nd3Ho8In: calculated PXRD pattern (CuKα), based on the PBE geometry in Alexandria.
Peak positions follow from Bragg's law for the DFT cell and can differ from measured ones.

Top 10 peaks for 2θ = 5–70°, sorted by position:
- 2θ 24.31, intensity 78
- 2θ 25.98, intensity 68
- 2θ 29.16, intensity 84
- 2θ 31.85, intensity 77
- 2θ 33.30, intensity 66
- 2θ 36.50, intensity 100
- 2θ 43.73, intensity 54
- 2θ 44.85, intensity 72
- 2θ 56.61, intensity 27
- 2θ 69.98, intensity 32

```
Nd3Ho8In
1.0
-4.3307 4.3307 5.6186
4.3307 -4.3307 5.6186
4.3307 4.3307 -5.6186
Nd Ho In
3 8 1
direct
0.0000 0.0000 0.0000 Nd
0.2500 0.7500 0.5000 Nd
0.7500 0.2500 0.5000 Nd
0.1224 0.3745 0.0000 Ho
0.2392 0.7397 0.0000 Ho
0.2603 0.2603 0.4995 Ho
0.3745 0.1224 0.0000 Ho
0.6255 0.6255 0.7479 Ho
0.7397 0.2392 0.0000 Ho
0.7608 0.7608 0.5005 Ho
0.8776 0.8776 0.2521 Ho
0.5000 0.5000 0.0000 In
```